TlBrO3: simulated PXRD pattern (Cu Kα), based on a GGA-PBE-relaxed structure.

Principal peaks in the range 2θ = 10–90°, by angle:
Position (°2θ)  Rel. int.
19.33  22
26.24  100
28.64  71
34.79  15
39.23  39
44.75  24
49.29  31
50.74  15
62.26  20
65.95  15

Crystal structure
Unit cell a=6.2331 b=6.2331 c=8.7395 alpha=90.00 beta=90.00 gamma=120.00
Space group R3m (No. 160, hexagonal axes)
Unique sites:
Tl  0.0000  0.0000  0.0000 x3
Br  0.0000  0.0000  0.4974 x3
O  0.1897  0.3795  0.2421 x9

Pr3Ag4Sn4: simulated PXRD pattern (Cu Kα), based on a GGA-PBE-relaxed structure.

Principal peaks in the range 2θ = 10–90°, by angle:
Position (°2θ)  Rel. int.
30.94  27
31.13  100
31.99  90
34.30  31
35.18  19
38.04  49
40.29  30
42.26  33
42.79  18
56.60  21

Crystal structure
Unit cell a=4.7313 b=7.4315 c=15.6877 alpha=90.00 beta=90.00 gamma=90.00
Space group Immm (No. 71)
Unique sites:
Pr  0.0000  0.0000  0.0000 x2
Pr  0.0000  0.5000  0.1293 x4
Ag  0.0000  0.3055  0.3297 x8
Sn  0.0000  0.0000  0.2150 x4
Sn  0.0000  0.1939  0.5000 x4

Please write out number 2 again, unchanged.
Pr3Ag4Sn4: simulated PXRD pattern (Cu Kα), based on a GGA-PBE-relaxed structure.

Principal peaks in the range 2θ = 10–90°, by angle:
Position (°2θ)  Rel. int.
30.94  27
31.13  100
31.99  90
34.30  31
35.18  19
38.04  49
40.29  30
42.26  33
42.79  18
56.60  21

Crystal structure
Unit cell a=4.7313 b=7.4315 c=15.6877 alpha=90.00 beta=90.00 gamma=90.00
Space group Immm (No. 71)
Unique sites:
Pr  0.0000  0.0000  0.0000 x2
Pr  0.0000  0.5000  0.1293 x4
Ag  0.0000  0.3055  0.3297 x8
Sn  0.0000  0.0000  0.2150 x4
Sn  0.0000  0.1939  0.5000 x4